[1]
Simulated X-ray powder pattern
Compound: PaAuC2O8
Radiation: Cu Kα, 1.54184 Å
Structure: the PBE geometry in Alexandria
Neutral-atom scattering factors, no anomalous dispersion.

Crystal structure
```
PaAuC2O8
1.0
4.100 -2.682 0.000
4.100 2.682 0.000
-0.934 0.000 6.899
Pa Au C O
1 1 2 8
Direct
0.000 0.000 0.000 Pa
0.000 0.000 0.500 Au
0.332 0.332 0.747 C
0.668 0.668 0.253 C
0.221 0.646 0.774 O
0.230 0.230 0.893 O
0.247 0.247 0.564 O
0.354 0.779 0.226 O
0.646 0.221 0.774 O
0.753 0.753 0.436 O
0.770 0.770 0.107 O
0.779 0.354 0.226 O
```

The 10 most intense peaks (10° ≤ 2θ ≤ 90°), sorted by position:
two_theta	I/Imax
19.8	100
21.9	37
25.8	22
31.5	39
33.4	18
34.0	35
37.2	24
42.7	21
43.0	15
62.2	17

---

[2]
Simulated X-ray powder pattern
Compound: La2Tb12Nd
Radiation: Cu Kα, 1.54184 Å
Structure: the PBE geometry in Alexandria
Neutral-atom scattering factors, no anomalous dispersion.

Crystal structure
```
La2Tb12Nd
1.0
3.562 -5.717 0.000
3.562 5.717 0.000
0.000 0.000 25.030
La Tb Nd
4 24 2
Direct
0.250 0.750 0.231 La
0.250 0.750 0.770 La
0.750 0.250 0.230 La
0.750 0.250 0.769 La
0.000 0.000 0.421 Tb
0.000 0.000 0.579 Tb
0.000 0.500 0.373 Tb
0.000 0.500 0.627 Tb
0.001 0.501 0.083 Tb
0.001 0.999 0.938 Tb
0.250 0.250 0.172 Tb
0.250 0.250 0.301 Tb
0.250 0.250 0.699 Tb
0.250 0.250 0.828 Tb
0.499 0.501 0.938 Tb
0.499 0.999 0.083 Tb
0.500 0.000 0.373 Tb
0.500 0.000 0.627 Tb
0.500 0.500 0.421 Tb
0.500 0.500 0.579 Tb
0.501 0.001 0.917 Tb
0.501 0.499 0.062 Tb
0.750 0.750 0.172 Tb
0.750 0.750 0.301 Tb
0.750 0.750 0.699 Tb
0.750 0.750 0.828 Tb
0.999 0.001 0.062 Tb
0.999 0.499 0.917 Tb
0.250 0.750 0.500 Nd
0.750 0.250 0.500 Nd
```

The 10 most intense peaks (10° ≤ 2θ ≤ 90°), sorted by position:
two_theta	I/Imax
28.8	27
29.5	67
30.4	97
31.3	100
31.5	29
32.6	73
32.9	60
36.7	68
57.9	28
61.3	31

---

[3]
Simulated X-ray powder pattern
Compound: Y2Zn7Pd
Radiation: Cu Kα, 1.54184 Å
Structure: the PBE geometry in Alexandria
Neutral-atom scattering factors, no anomalous dispersion.

Crystal structure
```
Y2Zn7Pd
1.0
4.058 0.000 0.000
0.000 4.058 0.000
0.000 0.000 11.076
Y Zn Pd
2 7 1
Direct
0.000 0.500 0.249 Y
0.500 0.000 0.751 Y
0.000 0.000 0.000 Zn
0.000 0.500 0.641 Zn
0.000 0.500 0.861 Zn
0.500 0.000 0.139 Zn
0.500 0.000 0.359 Zn
0.500 0.500 0.000 Zn
0.500 0.500 0.500 Zn
0.000 0.000 0.500 Pd
```

The 10 most intense peaks (10° ≤ 2θ ≤ 90°), sorted by position:
two_theta	I/Imax
32.8	40
35.2	100
44.7	51
45.5	26
46.7	29
56.5	16
65.0	16
66.6	19
76.1	19
84.8	12

---

[4]
Simulated X-ray powder pattern
Compound: AlB
Radiation: Cu Kα, 1.54184 Å
Structure: the PBE geometry in Alexandria
Neutral-atom scattering factors, no anomalous dispersion.

Crystal structure
```
AlB
1.0
3.345 0.000 0.000
0.000 3.019 0.000
-1.632 0.000 4.006
Al B
2 2
Direct
0.151 0.250 0.301 Al
0.849 0.750 0.699 Al
0.441 0.250 0.879 B
0.559 0.750 0.121 B
```

The 10 most intense peaks (10° ≤ 2θ ≤ 90°), sorted by position:
two_theta	I/Imax
37.3	94
41.8	100
41.9	99
43.1	62
43.6	60
45.3	30
54.9	41
55.0	37
61.4	29
78.3	31

---

[5]
Simulated X-ray powder pattern
Compound: Nd2Pu2Pb3
Radiation: Cu Kα, 1.54184 Å
Structure: the PBE geometry in Alexandria
Neutral-atom scattering factors, no anomalous dispersion.

Crystal structure
```
Nd2Pu2Pb3
1.0
2.354 -12.203 0.000
2.354 12.203 0.000
0.000 0.000 3.534
Nd Pu Pb
2 2 3
Direct
0.076 0.924 0.000 Nd
0.924 0.076 0.000 Nd
0.215 0.785 0.000 Pu
0.785 0.215 0.000 Pu
0.346 0.654 0.500 Pb
0.500 0.500 0.500 Pb
0.654 0.346 0.500 Pb
```

The 10 most intense peaks (10° ≤ 2θ ≤ 90°), sorted by position:
two_theta	I/Imax
31.9	100
33.6	39
36.7	10
38.2	23
51.8	25
59.1	13
62.1	18
65.2	13
66.1	11
87.8	9

---

[6]
Simulated X-ray powder pattern
Compound: KHfCu2Br8
Radiation: Cu Kα, 1.54184 Å
Structure: the PBE geometry in Alexandria
Neutral-atom scattering factors, no anomalous dispersion.

Crystal structure
```
KHfCu2Br8
1.0
6.743 0.000 0.000
0.766 6.989 0.000
1.279 2.707 8.458
K Hf Cu Br
1 1 2 8
Direct
0.000 0.000 0.000 K
0.000 0.500 0.500 Hf
0.498 0.477 0.179 Cu
0.502 0.523 0.821 Cu
0.114 0.504 0.770 Br
0.142 0.845 0.358 Br
0.352 0.309 0.439 Br
0.494 0.773 0.963 Br
0.506 0.227 0.037 Br
0.648 0.691 0.561 Br
0.858 0.155 0.642 Br
0.886 0.496 0.230 Br
```

The 10 most intense peaks (10° ≤ 2θ ≤ 90°), sorted by position:
two_theta	I/Imax
13.3	100
16.0	57
17.9	26
20.9	52
26.8	34
29.2	40
30.8	31
31.4	36
32.3	38
38.3	27

---

[7]
Simulated X-ray powder pattern
Compound: Fe3Pt4
Radiation: Cu Kα, 1.54184 Å
Structure: the PBE geometry in Alexandria
Neutral-atom scattering factors, no anomalous dispersion.

Crystal structure
```
Fe3Pt4
1.0
2.164 1.249 6.364
-2.164 1.249 6.364
0.000 -2.499 6.364
Fe Pt
3 4
Direct
0.000 0.000 0.000 Fe
0.274 0.274 0.274 Fe
0.726 0.726 0.726 Fe
0.136 0.136 0.136 Pt
0.406 0.406 0.406 Pt
0.594 0.594 0.594 Pt
0.864 0.864 0.864 Pt
```

The 10 most intense peaks (10° ≤ 2θ ≤ 90°), sorted by position:
two_theta	I/Imax
30.3	61
40.9	65
41.7	100
45.0	16
52.5	14
58.6	15
59.9	21
75.6	21
76.2	17
89.3	29

---

[8]
Simulated X-ray powder pattern
Compound: Th2CdOs
Radiation: Cu Kα, 1.54184 Å
Structure: the PBE geometry in Alexandria
Neutral-atom scattering factors, no anomalous dispersion.

Crystal structure
```
Th2CdOs
1.0
5.744 0.000 0.000
0.000 9.272 0.000
0.000 0.000 8.203
Th Cd Os
8 4 4
Direct
0.000 0.064 0.000 Th
0.000 0.374 0.311 Th
0.000 0.626 0.811 Th
0.000 0.936 0.500 Th
0.500 0.126 0.311 Th
0.500 0.436 0.000 Th
0.500 0.564 0.500 Th
0.500 0.874 0.811 Th
0.250 0.250 0.671 Cd
0.250 0.750 0.171 Cd
0.750 0.250 0.671 Cd
0.750 0.750 0.171 Cd
0.000 0.371 0.957 Os
0.000 0.629 0.457 Os
0.500 0.129 0.957 Os
0.500 0.871 0.457 Os
```

The 10 most intense peaks (10° ≤ 2θ ≤ 90°), sorted by position:
two_theta	I/Imax
27.0	44
28.4	100
30.9	82
31.1	72
32.9	67
34.2	91
34.5	75
38.3	62
41.4	40
55.1	88

---

[9]
Simulated X-ray powder pattern
Compound: Th3Te2Os
Radiation: Cu Kα, 1.54184 Å
Structure: the PBE geometry in Alexandria
Neutral-atom scattering factors, no anomalous dispersion.

Crystal structure
```
Th3Te2Os
1.0
-2.082 3.130 7.004
2.082 -3.130 7.004
2.082 3.130 -7.004
Th Te Os
3 2 1
Direct
0.000 0.000 0.000 Th
0.368 0.368 0.000 Th
0.632 0.632 0.000 Th
0.181 0.681 0.500 Te
0.819 0.319 0.500 Te
0.500 0.000 0.500 Os
```

The 10 most intense peaks (10° ≤ 2θ ≤ 90°), sorted by position:
two_theta	I/Imax
12.6	14
28.5	59
28.7	100
35.1	13
36.5	13
40.9	74
43.5	19
52.8	22
59.1	20
66.9	18

---

[10]
Simulated X-ray powder pattern
Compound: Ca5Pb2
Radiation: Cu Kα, 1.54184 Å
Structure: the PBE geometry in Alexandria
Neutral-atom scattering factors, no anomalous dispersion.

Crystal structure
```
Ca5Pb2
1.0
-4.166 7.941 3.550
4.166 -7.941 3.550
4.166 7.941 -3.550
Ca Pb
10 4
Direct
0.020 0.250 0.770 Ca
0.084 0.654 0.738 Ca
0.250 0.250 0.000 Ca
0.416 0.154 0.570 Ca
0.480 0.250 0.230 Ca
0.520 0.750 0.770 Ca
0.584 0.846 0.430 Ca
0.750 0.750 0.000 Ca
0.916 0.346 0.262 Ca
0.980 0.750 0.230 Ca
0.125 0.270 0.394 Pb
0.375 0.770 0.145 Pb
0.625 0.230 0.855 Pb
0.875 0.730 0.606 Pb
```

The 10 most intense peaks (10° ≤ 2θ ≤ 90°), sorted by position:
two_theta	I/Imax
19.9	100
21.3	16
22.4	18
25.1	16
31.1	41
33.2	38
33.9	38
36.5	31
37.8	30
41.3	17

---

[11]
Simulated X-ray powder pattern
Compound: Cs3Na2PuCl9
Radiation: Cu Kα, 1.54184 Å
Structure: the PBE geometry in Alexandria
Neutral-atom scattering factors, no anomalous dispersion.

Crystal structure
```
Cs3Na2PuCl9
1.0
7.785 0.000 0.000
-3.893 6.742 0.000
0.000 0.000 9.665
Cs Na Pu Cl
3 2 1 9
Direct
0.000 0.000 0.000 Cs
0.333 0.667 0.724 Cs
0.667 0.333 0.276 Cs
0.333 0.667 0.147 Na
0.667 0.333 0.853 Na
0.000 0.000 0.500 Pu
0.000 0.500 0.000 Cl
0.158 0.316 0.345 Cl
0.158 0.842 0.345 Cl
0.316 0.158 0.655 Cl
0.500 0.000 0.000 Cl
0.500 0.500 0.000 Cl
0.684 0.842 0.345 Cl
0.842 0.158 0.655 Cl
0.842 0.684 0.655 Cl
```

The 10 most intense peaks (10° ≤ 2θ ≤ 90°), sorted by position:
two_theta	I/Imax
13.1	42
16.0	51
22.6	96
22.8	77
28.0	37
32.4	100
40.0	48
44.1	25
46.7	34
63.2	22

---

[12]
Simulated X-ray powder pattern
Compound: Cs2Tl2CdAu4
Radiation: Cu Kα, 1.54184 Å
Structure: the PBE geometry in Alexandria
Neutral-atom scattering factors, no anomalous dispersion.

Crystal structure
```
Cs2Tl2CdAu4
1.0
6.519 -3.701 0.000
6.519 3.701 0.000
-3.334 0.000 6.154
Cs Tl Cd Au
2 2 1 4
Direct
0.158 0.158 0.287 Cs
0.842 0.842 0.713 Cs
0.347 0.347 0.967 Tl
0.653 0.653 0.033 Tl
0.500 0.500 0.500 Cd
0.078 0.702 0.272 Au
0.298 0.922 0.728 Au
0.702 0.078 0.272 Au
0.922 0.298 0.728 Au
```

The 10 most intense peaks (10° ≤ 2θ ≤ 90°), sorted by position:
two_theta	I/Imax
15.3	100
27.4	34
28.6	44
28.9	67
29.8	33
31.2	46
35.2	37
35.6	61
38.0	33
42.3	55